Record 1
Starting from a PBE-relaxed structure, the X-ray powder pattern of Cs2Hg2H2I4Br2O was calculated for λ = 1.5418 Å (Cu Kα).
Peak positions follow from Bragg's law for the DFT cell and can differ from measured ones.

Top 6 peaks for 2θ = 10–80°, low angle first:
- 2θ = 11.32°, I = 87
- 2θ = 11.56°, I = 59
- 2θ = 23.94°, I = 100
- 2θ = 24.47°, I = 60
- 2θ = 25.12°, I = 38
- 2θ = 27.28°, I = 83

a b c (Å): 7.8291 14.0245 9.1438
angles (deg): 90.00 93.02 90.00
Space group Pc (No. 7)
One atom of each set of equivalent atoms:
Cs 0.0000 0.1759 0.0000 [2 per cell]
Cs 0.4497 0.3014 0.6285 [2 per cell]
Hg 0.9004 0.4290 0.3541 [2 per cell]
Hg 0.9062 0.1442 0.4931 [2 per cell]
H 0.4638 0.1271 0.9565 [2 per cell]
H 0.4740 0.2210 0.0452 [2 per cell]
I 0.1996 0.0799 0.3724 [2 per cell]
I 0.2019 0.4046 0.2293 [2 per cell]
I 0.6703 0.4567 0.9770 [2 per cell]
I 0.6863 0.0400 0.6584 [2 per cell]
Br 0.7063 0.2560 0.2887 [2 per cell]
Br 0.9793 0.3110 0.6543 [2 per cell]
O 0.4214 0.1925 0.9559 [2 per cell]



Record 2
Starting from a PBE-relaxed structure, the X-ray powder pattern of CsHf2Br9 was calculated for λ = 1.5418 Å (Cu Kα).
Peak positions follow from Bragg's law for the DFT cell and can differ from measured ones.

Top 6 peaks for 2θ = 10–80°, low angle first:
- 2θ = 13.49°, I = 31
- 2θ = 14.38°, I = 39
- 2θ = 15.48°, I = 74
- 2θ = 28.79°, I = 100
- 2θ = 29.24°, I = 46
- 2θ = 44.39°, I = 37

a b c (Å): 10.4026 7.0941 13.5896
angles (deg): 90.00 114.05 90.00
Space group P2/c (No. 13)
One atom of each set of equivalent atoms:
Cs 0.0000 0.0925 0.2500 [2 per cell]
Hf 0.3265 0.2459 0.6334 [4 per cell]
Br 0.1164 0.3916 0.6545 [4 per cell]
Br 0.2091 0.0673 0.0575 [4 per cell]
Br 0.2955 0.3987 0.4585 [4 per cell]
Br 0.4164 0.0982 0.8401 [4 per cell]
Br 0.5000 0.4689 0.2500 [2 per cell]



Record 3
Starting from a PBE-relaxed structure, the X-ray powder pattern of Cs2HgBr4 was calculated for λ = 1.5418 Å (Cu Kα).
Peak positions follow from Bragg's law for the DFT cell and can differ from measured ones.

Top 6 peaks for 2θ = 10–80°, low angle first:
- 2θ = 14.50°, I = 41
- 2θ = 22.39°, I = 55
- 2θ = 24.44°, I = 54
- 2θ = 26.93°, I = 100
- 2θ = 31.88°, I = 54
- 2θ = 35.78°, I = 43

a b c (Å): 10.9226 7.9422 16.6702
angles (deg): 90.00 118.90 90.00
Space group P2_1/c (No. 14)
One atom of each set of equivalent atoms:
Cs 0.0626 0.2455 0.4019 [4 per cell]
Cs 0.4358 0.7463 0.8407 [4 per cell]
Hg 0.3054 0.7432 0.5456 [4 per cell]
Br 0.1202 0.7493 0.8664 [4 per cell]
Br 0.2457 0.0154 0.1235 [4 per cell]
Br 0.2507 0.0061 0.6244 [4 per cell]
Br 0.4253 0.2416 0.9092 [4 per cell]



Record 4
Starting from a PBE-relaxed structure, the X-ray powder pattern of CsHg2Br5 was calculated for λ = 1.5418 Å (Cu Kα).
Peak positions follow from Bragg's law for the DFT cell and can differ from measured ones.

Top 6 peaks for 2θ = 10–80°, low angle first:
- 2θ = 10.74°, I = 50
- 2θ = 20.95°, I = 45
- 2θ = 21.28°, I = 47
- 2θ = 22.73°, I = 34
- 2θ = 27.15°, I = 100
- 2θ = 27.66°, I = 34

a b c (Å): 8.6303 6.5687 11.6294
angles (deg): 90.00 107.29 90.00
Space group P2_1/m (No. 11)
One atom of each set of equivalent atoms:
Cs 0.0289 0.2500 0.2542 [2 per cell]
Hg 0.3716 0.7500 0.5562 [2 per cell]
Hg 0.4622 0.7500 0.1409 [2 per cell]
Br 0.0744 0.7500 0.4325 [2 per cell]
Br 0.1630 0.7500 0.1007 [2 per cell]
Br 0.2584 0.2500 0.8753 [2 per cell]
Br 0.4020 0.2500 0.5620 [2 per cell]
Br 0.4872 0.2500 0.2120 [2 per cell]



Record 5
Starting from a PBE-relaxed structure, the X-ray powder pattern of CsHgBr3 was calculated for λ = 1.5418 Å (Cu Kα).
Peak positions follow from Bragg's law for the DFT cell and can differ from measured ones.

Top 6 peaks for 2θ = 10–80°, low angle first:
- 2θ = 14.95°, I = 67
- 2θ = 20.71°, I = 67
- 2θ = 21.73°, I = 56
- 2θ = 30.11°, I = 100
- 2θ = 30.28°, I = 49
- 2θ = 44.30°, I = 36

a b c (Å): 24.5751 8.4157 14.9631
angles (deg): 90.00 126.04 90.00
Space group C2/c (No. 15)
One atom of each set of equivalent atoms:
Cs 0.0884 0.2271 0.1813 [8 per cell]
Cs 0.2500 0.2500 0.0000 [4 per cell]
Hg 0.0000 0.2388 0.7500 [4 per cell]
Hg 0.1641 0.2348 0.5718 [8 per cell]
Br 0.0763 0.0154 0.9306 [8 per cell]
Br 0.0871 0.3007 0.7151 [8 per cell]
Br 0.0876 0.4711 0.4630 [8 per cell]
Br 0.2416 0.0744 0.7475 [8 per cell]
Br 0.2500 0.2500 0.5000 [4 per cell]



Record 6
Starting from a PBE-relaxed structure, the X-ray powder pattern of Cs3HgBr5 was calculated for λ = 1.5418 Å (Cu Kα).
Peak positions follow from Bragg's law for the DFT cell and can differ from measured ones.

Top 6 peaks for 2θ = 10–80°, low angle first:
- 2θ = 21.84°, I = 30
- 2θ = 24.96°, I = 100
- 2θ = 25.84°, I = 39
- 2θ = 26.21°, I = 50
- 2θ = 27.20°, I = 60
- 2θ = 31.33°, I = 60

a b c (Å): 9.6254 11.4201 14.5394
angles (deg): 90.00 90.00 90.00
Space group Pnma (No. 62)
One atom of each set of equivalent atoms:
Cs 0.0832 0.0218 0.1692 [8 per cell]
Cs 0.0831 0.2500 0.4497 [4 per cell]
Hg 0.1951 0.2500 0.8869 [4 per cell]
Br 0.0404 0.7500 0.0105 [4 per cell]
Br 0.1254 0.2500 0.7105 [4 per cell]
Br 0.1689 0.7500 0.7387 [4 per cell]
Br 0.1846 0.5509 0.4346 [8 per cell]